Calculated X-ray powder pattern of Li6MgIn for Cu Kα, 1.54184 Å, from a crystal structure in Alexandria, relaxed with PBE.
Kinematic intensities with the Lorentz-polarization factor, no thermal factor.

Most intense lines, 5° ≤ 2θ ≤ 70°, low angle first:
| 2θ/deg | intensity | hkl |
| --- | --- | --- |
| 15.06 | 68 | 0 1 0 |
| 16.57 | 72 | 0 0 1 |
| 18.19 | 43 | 1 0 0 |
| 22.46 | 95 | 0 1 1 |
| 23.69 | 100 | 1 1 0 |
| 24.70 | 75 | 1 0 1 |
| 29.05 | 72 | 1 1 1 |
| 36.88 | 55 | 2 0 0 |
| 38.38 | 43 | 1 0 2 |
| 39.54 | 68 | 1 2 1 |

Crystal structure
```
data_Li6MgIn
_chemical_formula_sum 'Li6 Mg1 In1'
_space_group_name_H-M_alt 'P m m 2'
_space_group_IT_number 25
_space_group_name_Hall 'P 2 -2'
_cell_length_a 4.8783
_cell_length_b 5.8836
_cell_length_c 5.3499
_cell_angle_alpha 90.00
_cell_angle_beta 90.00
_cell_angle_gamma 90.00
loop_
_atom_site_label
_atom_site_type_symbol
_atom_site_fract_x
_atom_site_fract_y
_atom_site_fract_z
_atom_site_occupancy
Li1 Li 0.0000 0.0000 0.0000 1
Li2 Li 0.0000 0.2431 0.4803 1
Li3 Li 0.5000 0.2367 0.7921 1
Li4 Li 0.5000 0.5000 0.3055 1
Mg1 Mg 0.0000 0.5000 0.9773 1
In1 In 0.5000 0.0000 0.2945 1
```

---

Calculated X-ray powder pattern of BaHg5Pb for Cu Kα, 1.54184 Å, from a crystal structure in Alexandria, relaxed with PBE.
Kinematic intensities with the Lorentz-polarization factor, no thermal factor.

Most intense lines, 5° ≤ 2θ ≤ 70°, low angle first:
| 2θ/deg | intensity | hkl |
| --- | --- | --- |
| 12.02 | 25 | 0 0 1 |
| 30.11 | 100 | 0 2 2 |
| 34.18 | 73 | 2 2 0 |
| 35.80 | 32 | 0 4 0 |
| 38.04 | 27 | 2 0 -2 |
| 38.17 | 27 | 2 0 2 |
| 53.23 | 21 | 2 4 -2 |
| 53.33 | 21 | 2 4 2 |
| 60.84 | 16 | 0 6 2 |
| 61.45 | 14 | 2 2 -4 |

Crystal structure
```
data_BaHg5Pb
_chemical_formula_sum 'Ba2 Hg10 Pb2'
_space_group_name_H-M_alt 'C 1 2/m 1'
_space_group_IT_number 12
_space_group_name_Hall '-C 2y'
_cell_length_a 6.1551
_cell_length_b 10.0324
_cell_length_c 7.3645
_cell_angle_alpha 90.00
_cell_angle_beta 90.19
_cell_angle_gamma 90.00
loop_
_atom_site_label
_atom_site_type_symbol
_atom_site_fract_x
_atom_site_fract_y
_atom_site_fract_z
_atom_site_occupancy
Ba1 Ba 0.0000 0.0000 0.0000 1
Hg1 Hg 0.0000 0.0000 0.5000 1
Hg2 Hg 0.2503 0.2503 0.2622 1
Pb1 Pb 0.0000 0.5000 0.5000 1
```

---

Calculated X-ray powder pattern of Pb6I5Cl7 for Cu Kα, 1.54184 Å, from a crystal structure in Alexandria, relaxed with PBE.
Kinematic intensities with the Lorentz-polarization factor, no thermal factor.

Most intense lines, 5° ≤ 2θ ≤ 70°, low angle first:
| 2θ/deg | intensity | hkl |
| --- | --- | --- |
| 16.37 | 34 | 0 0 2 |
| 18.62 | 100 | 0 2 0 |
| 23.06 | 73 | 3 1 1 |
| 32.96 | 86 | 3 1 3 |
| 33.08 | 23 | 0 0 4 |
| 35.37 | 42 | 3 3 1 |
| 37.75 | 24 | 0 4 0 |
| 39.36 | 22 | 6 0 0 |
| 42.75 | 64 | 3 3 3 |
| 43.88 | 22 | 6 2 0 |

Crystal structure
```
data_Pb6I5Cl7
_chemical_formula_sum 'Pb12 I10 Cl14'
_space_group_name_H-M_alt 'A m m 2'
_space_group_IT_number 38
_space_group_name_Hall 'A 2 -2'
_cell_length_a 13.7353
_cell_length_b 9.5314
_cell_length_c 10.8304
_cell_angle_alpha 90.00
_cell_angle_beta 90.00
_cell_angle_gamma 90.00
loop_
_atom_site_label
_atom_site_type_symbol
_atom_site_fract_x
_atom_site_fract_y
_atom_site_fract_z
_atom_site_occupancy
Pb1 Pb 0.0000 0.0000 0.0000 1
Pb2 Pb 0.1557 0.0000 0.4640 1
Pb3 Pb 0.3323 0.0000 0.9658 1
Pb4 Pb 0.5000 0.0000 0.4660 1
I1 I 0.0000 0.0000 0.6864 1
I2 I 0.3271 0.0000 0.6664 1
I3 I 0.3303 0.0000 0.2614 1
Cl1 Cl 0.0000 0.0000 0.2725 1
Cl2 Cl 0.1642 0.1936 0.9738 1
Cl3 Cl 0.5000 0.1923 0.9641 1
```